Entry 1:
Starting from DFT lattice parameters and positions (GGA-PBE), the powder XRD pattern of HoErFe8B2 was computed for Cu Ka.
Peak positions follow from Bragg's law for the DFT cell and can differ from measured ones.

Atomic structure:
abc: 5.0393 5.0393 7.0211
angles: 90.00 90.00 120.00
Space group P6/mmm (No. 191)
Symmetry-distinct sites (fractional):
Ho 0.0000 0.0000 0.0000
Er 0.0000 0.0000 0.5000
Fe 0.0000 0.5000 0.2142
Fe 0.3333 0.6667 0.5000
B 0.3333 0.6667 0.0000

Most intense lines, 2θ = 10–90°, by intensity:
index	d_spacing	intensity
1 1 2	2.047	100.0
1 0 2	2.735	97.5
2 0 0	2.182	71.7
1 1 0	2.520	34.1
2 1 2	1.493	30.9
3 0 2	1.344	24.3
1 0 0	4.364	21.4
2 2 0	1.260	19.4
2 0 4	1.368	19.0
1 1 4	1.440	15.0

Entry 2:
Starting from DFT lattice parameters and positions (GGA-PBE), the powder XRD pattern of CsNa3Cd2Pb2 was computed for Cu Ka.
Peak positions follow from Bragg's law for the DFT cell and can differ from measured ones.

Atomic structure:
abc: 6.499 6.098 7.333
angles: 90.00 105.06 90.00
Space group Pm (No. 6)
Symmetry-distinct sites (fractional):
Cs 0.000 0.000 0.000
Na 0.080 0.500 0.380
Na 0.378 0.000 0.646
Na 0.708 0.500 0.656
Cd 0.557 0.255 0.168
Pb 0.291 0.500 0.851
Pb 0.820 0.000 0.482

Most intense lines, 2θ = 10–90°, by intensity:
index	d_spacing	intensity
1 0 -1	5.452	100.0
1 1 0	4.373	92.6
1 2 1	2.465	49.7
1 1 -2	3.034	49.6
1 0 2	2.789	49.4
2 1 -1	2.828	46.8
0 1 2	3.062	39.6
0 1 1	4.621	33.9
3 2 -1	1.765	31.5
0 2 2	2.310	30.8

Entry 3:
Starting from DFT lattice parameters and positions (GGA-PBE), the powder XRD pattern of Er2H2BrCl3 was computed for Cu Ka.
Peak positions follow from Bragg's law for the DFT cell and can differ from measured ones.

Atomic structure:
abc: 3.7180 3.7180 14.0497
angles: 90.00 90.00 120.00
Space group P3m1 (No. 156)
Symmetry-distinct sites (fractional):
Er 0.0000 0.0000 0.0000
Er 0.0000 0.0000 0.4955
H 0.3333 0.6667 0.9990
H 0.6667 0.3333 0.4957
Br 0.6667 0.3333 0.8621
Cl 0.3333 0.6667 0.3717
Cl 0.3333 0.6667 0.6192
Cl 0.6667 0.3333 0.1235

Most intense lines, 2θ = 10–90°, by intensity:
index	d_spacing	intensity
0 0 2	7.025	100.0
0 1 2	2.927	79.6
1 0 4	2.373	70.3
1 1 0	1.859	24.9
1 0 0	3.220	24.8
1 0 6	1.894	20.4
1 1 2	1.797	18.2
0 2 4	1.464	15.2
2 1 4	1.150	14.2
1 1 8	1.277	13.6

Entry 4:
Starting from DFT lattice parameters and positions (GGA-PBE), the powder XRD pattern of Os2PtC10O10 was computed for Cu Ka.
Peak positions follow from Bragg's law for the DFT cell and can differ from measured ones.

Atomic structure:
abc: 6.799 8.736 12.498
angles: 80.93 81.66 74.91
Space group P-1 (No. 2)
Symmetry-distinct sites (fractional):
Os 0.083 0.163 0.149
Os 0.128 0.616 0.697
Pt 0.145 0.107 0.363
C 0.034 0.709 0.976
C 0.099 0.489 0.277
C 0.119 0.160 0.507
C 0.132 0.953 0.814
C 0.230 0.517 0.569
C 0.256 0.986 0.084
C 0.283 0.471 0.805
C 0.312 0.263 0.138
C 0.314 0.754 0.652
C 0.340 0.908 0.351
O 0.103 0.200 0.592
O 0.106 0.627 0.050
O 0.228 0.556 0.268
O 0.252 0.029 0.798
O 0.295 0.460 0.489
O 0.357 0.879 0.042
O 0.370 0.388 0.873
O 0.426 0.834 0.616
O 0.454 0.316 0.130
O 0.460 0.788 0.344

Most intense lines, 2θ = 10–90°, by intensity:
index	d_spacing	intensity
1 0 0	6.533	100.0
1 1 1	5.741	54.5
0 1 1	7.356	50.1
1 1 -1	4.958	41.7
2 2 0	2.943	34.5
0 0 2	6.134	15.5
1 2 0	3.990	14.8
1 -1 3	3.081	14.5
-1 3 1	2.353	13.2
-1 2 2	2.878	11.4

Entry 5:
Starting from DFT lattice parameters and positions (GGA-PBE), the powder XRD pattern of NdGd2Ag4Ge4 was computed for Cu Ka.
Peak positions follow from Bragg's law for the DFT cell and can differ from measured ones.

Atomic structure:
abc: 4.385 7.200 14.691
angles: 90.00 90.00 90.00
Space group Immm (No. 71)
Symmetry-distinct sites (fractional):
Nd 0.000 0.000 0.000
Gd 0.000 0.500 0.126
Ag 0.000 0.303 0.331
Ge 0.000 0.000 0.217
Ge 0.000 0.182 0.500

Most intense lines, 2θ = 10–90°, by intensity:
index	d_spacing	intensity
1 2 1	2.734	100.0
1 1 4	2.622	94.0
2 0 0	2.193	43.7
0 3 3	2.155	36.7
1 2 3	2.419	29.0
0 1 5	2.720	28.3
2 3 3	1.537	24.5
0 0 6	2.449	21.2
2 0 6	1.634	19.1
1 5 4	1.282	17.4

Entry 6:
Starting from DFT lattice parameters and positions (GGA-PBE), the powder XRD pattern of KU2F9 was computed for Cu Ka.
Peak positions follow from Bragg's law for the DFT cell and can differ from measured ones.

Atomic structure:
abc: 8.583 11.052 6.905
angles: 90.00 90.00 90.00
Space group Pnma (No. 62)
Symmetry-distinct sites (fractional):
K 0.032 0.250 0.137
U 0.174 0.048 0.654
F 0.004 0.607 0.574
F 0.064 0.580 0.193
F 0.173 0.250 0.667
F 0.210 0.102 0.974
F 0.215 0.614 0.855

Most intense lines, 2θ = 10–90°, by intensity:
index	d_spacing	intensity
0 2 0	5.526	100.0
2 2 1	3.042	61.9
1 0 2	3.203	55.3
2 0 1	3.645	51.2
1 2 2	2.771	48.9
3 3 2	1.890	41.7
0 3 1	3.250	41.7
1 3 3	1.903	28.6
2 2 0	3.389	27.2
4 0 1	2.049	26.1

Entry 7:
Starting from DFT lattice parameters and positions (GGA-PBE), the powder XRD pattern of Li8Nd7Ge10 was computed for Cu Ka.
Peak positions follow from Bragg's law for the DFT cell and can differ from measured ones.

Atomic structure:
abc: 6.890 33.471 4.430
angles: 90.00 90.00 90.00
Space group Cmmm (No. 65)
Symmetry-distinct sites (fractional):
Li 0.187 0.143 0.000
Li 0.190 0.425 0.500
Nd 0.000 0.057 0.000
Nd 0.000 0.221 0.500
Nd 0.000 0.339 0.500
Nd 0.000 0.500 0.000
Ge 0.000 0.127 0.500
Ge 0.000 0.406 0.000
Ge 0.183 0.285 0.000
Ge 0.185 0.000 0.500

Most intense lines, 2θ = 10–90°, by intensity:
index	d_spacing	intensity
1 9 1	2.632	100.0
2 2 1	2.684	72.0
0 0 2	2.215	27.2
2 0 0	3.445	26.7
1 7 0	3.926	20.3
1 11 0	2.783	18.9
3 7 0	2.070	18.2
0 4 0	8.368	16.1
0 6 1	3.469	14.9
3 11 0	1.833	13.8

Entry 8:
Starting from DFT lattice parameters and positions (GGA-PBE), the powder XRD pattern of RbNbAgO3 was computed for Cu Ka.
Peak positions follow from Bragg's law for the DFT cell and can differ from measured ones.

Atomic structure:
abc: 10.913 3.135 12.607
angles: 90.00 90.20 90.00
Space group P2_1/m (No. 11)
Symmetry-distinct sites (fractional):
Rb 0.092 0.250 0.254
Rb 0.407 0.250 0.754
Nb 0.135 0.750 0.963
Nb 0.365 0.750 0.462
Ag 0.094 0.250 0.529
Ag 0.406 0.250 0.029
O 0.019 0.250 0.913
O 0.203 0.250 0.050
O 0.227 0.750 0.845
O 0.272 0.750 0.345
O 0.298 0.250 0.549
O 0.480 0.250 0.413

Most intense lines, 2θ = 10–90°, by intensity:
index	d_spacing	intensity
2 1 -1	2.657	100.0
2 0 3	3.329	98.3
0 0 2	6.304	89.0
0 0 4	3.152	50.4
2 1 3	2.283	47.2
4 0 0	2.729	32.4
3 1 0	2.375	23.9
0 1 4	2.223	22.7
1 1 3	2.449	19.4
4 0 -4	2.067	15.8

Entry 9:
Starting from DFT lattice parameters and positions (GGA-PBE), the powder XRD pattern of NdYTl2Pt4 was computed for Cu Ka.
Peak positions follow from Bragg's law for the DFT cell and can differ from measured ones.

Atomic structure:
abc: 4.6678 4.6678 9.1154
angles: 90.00 90.00 120.00
Space group P-6m2 (No. 187)
Symmetry-distinct sites (fractional):
Nd 0.0000 0.0000 0.0000
Y 0.3333 0.6667 0.5000
Tl 0.6667 0.3333 0.2532
Pt 0.0000 0.0000 0.3475
Pt 0.3333 0.6667 0.1582

Most intense lines, 2θ = 10–90°, by intensity:
index	d_spacing	intensity
1 1 0	2.334	100.0
1 0 3	2.429	82.7
1 0 2	3.024	29.9
2 0 3	1.683	27.4
2 1 3	1.365	27.3
1 0 4	1.985	19.8
0 0 2	4.558	18.5
3 0 0	1.347	17.8
1 0 6	1.422	16.1
1 1 2	2.077	14.8

Entry 10:
Starting from DFT lattice parameters and positions (GGA-PBE), the powder XRD pattern of Li8Hg4O11 was computed for Cu Ka.
Peak positions follow from Bragg's law for the DFT cell and can differ from measured ones.

Atomic structure:
abc: 5.207 5.363 9.545
angles: 93.93 102.66 101.63
Space group P1 (No. 1)
Symmetry-distinct sites (fractional):
Li 0.000 0.000 0.000
Li 0.003 0.485 0.171
Li 0.014 0.409 0.494
Li 0.479 0.246 0.912
Li 0.612 0.707 0.456
Li 0.969 0.964 0.323
Li 0.982 0.004 0.696
Li 0.988 0.509 0.835
Hg 0.484 0.732 0.086
Hg 0.494 0.748 0.756
Hg 0.504 0.203 0.582
Hg 0.515 0.252 0.261
O 0.214 0.391 0.017
O 0.231 0.905 0.189
O 0.233 0.888 0.854
O 0.242 0.385 0.689
O 0.263 0.410 0.356
O 0.752 0.590 0.997
O 0.754 0.099 0.827
O 0.756 0.086 0.152
O 0.762 0.630 0.653
O 0.786 0.063 0.486
O 0.815 0.579 0.333

Most intense lines, 2θ = 10–90°, by intensity:
index	d_spacing	intensity
1 0 0	4.953	100.0
-2 1 3	2.120	39.1
0 1 -3	2.803	35.7
1 1 -3	2.551	31.1
-1 1 1	3.876	30.8
0 1 1	4.331	28.8
1 -1 3	2.344	24.8
0 1 -1	4.792	19.7
-1 1 3	2.591	19.3
0 0 2	4.624	19.3

Entry 11:
Starting from DFT lattice parameters and positions (GGA-PBE), the powder XRD pattern of LiAg2 was computed for Cu Ka.
Peak positions follow from Bragg's law for the DFT cell and can differ from measured ones.

Atomic structure:
abc: 4.761 5.421 5.453
angles: 61.77 64.41 65.13
Space group P-1 (No. 2)
Symmetry-distinct sites (fractional):
Li 0.005 0.247 0.247
Ag 0.328 0.669 0.168
Ag 0.332 0.169 0.667

Most intense lines, 2θ = 10–90°, by intensity:
index	d_spacing	intensity
0 1 -1	2.791	100.0
2 2 0	1.798	78.0
2 1 1	2.380	69.3
-1 1 1	2.364	67.9
0 1 1	4.050	66.6
1 2 2	2.333	65.4
1 1 1	4.076	63.7
1 0 0	4.132	59.9
0 2 0	2.299	50.6
2 0 2	1.823	27.2